Theoretical powder X-ray diffraction pattern of Ba3TiFe2O8 for λ = 1.5418 Å (Cu Kα), from DFT lattice parameters and positions (GGA+U).

The 10 most intense peaks (2θ from 10° to 90°), low angle first:
index	d [Å]	two_theta	intensity
2 2 0	4.085	21.76	25.2
3 2 0	3.433	25.96	44.0
0 0 2	2.895	30.89	82.0
0 3 1	2.885	31.00	100.0
5 1 1	2.465	36.45	18.2
6 0 0	2.360	38.12	23.1
3 2 2	2.213	40.77	23.6
4 2 2	2.045	44.29	22.7
0 3 3	1.671	54.93	22.7
4 4 2	1.668	55.07	17.7

Crystal structure
```
data_Ba3TiFe2O8
_cell_length_a 14.1509
_cell_length_b 9.9763
_cell_length_c 5.7983
_cell_angle_alpha 90.00
_cell_angle_beta 90.00
_cell_angle_gamma 90.00
_symmetry_space_group_name_H-M 'A m a 2'
_symmetry_Int_Tables_number 40
loop_
_symmetry_equiv_pos_as_xyz
'x,y,z'
'-x,-y,z'
'-x+1/2,y,z'
'x+1/2,-y,z'
'x,y+1/2,z+1/2'
'-x,-y+1/2,z+1/2'
'-x+1/2,y+1/2,z+1/2'
'x+1/2,-y+1/2,z+1/2'
loop_
_atom_site_label
_atom_site_fract_x
_atom_site_fract_y
_atom_site_fract_z
Ba1 0.0814 0.1643 0.0000
Ba2 0.2500 0.9998 0.5179
Ti1 0.0000 0.0000 0.5077
Fe1 0.1515 0.3360 0.5269
O1 0.0796 0.4092 0.2636
O2 0.0803 0.4206 0.7814
O3 0.0859 0.1633 0.5019
O4 0.2500 0.2517 0.7118
O5 0.2500 0.4688 0.4812
```